# 1
This entry pairs a crystal structure of CaCrB14 with its calculated X-ray diffraction stick pattern. Radiation: Cu Ka. Structure: a structure optimized by DFT (GGA-PBE).

Atomic structure:
Unit cell a=7.326 b=7.326 c=7.326 alpha=132.73 beta=87.48 gamma=111.43
Sites, in units of the cell vectors:
Ca1 0.389 0.139 0.250
Ca2 0.611 0.861 0.750
Cr1 0.000 0.000 0.500
Cr2 0.000 0.500 0.000
B1 0.008 0.873 0.135
B2 0.032 0.205 0.331
B3 0.032 0.701 0.827
B4 0.082 0.669 0.414
B5 0.199 0.532 0.666
B6 0.222 0.502 0.401
B7 0.222 0.821 0.720
B8 0.238 0.873 0.365
B9 0.245 0.331 0.914
B10 0.366 0.532 0.834
B11 0.374 0.205 0.673
B12 0.374 0.701 0.169
B13 0.398 0.179 0.901
B14 0.398 0.498 0.220
B15 0.602 0.502 0.780
B16 0.602 0.821 0.099
B17 0.626 0.299 0.831
B18 0.626 0.795 0.327
B19 0.634 0.468 0.166
B20 0.755 0.669 0.086
B21 0.762 0.127 0.635
B22 0.778 0.179 0.280
B23 0.778 0.498 0.599
B24 0.801 0.468 0.334
B25 0.918 0.331 0.586
B26 0.968 0.299 0.173
B27 0.968 0.795 0.669
B28 0.992 0.127 0.865

Top 10 peaks for 2θ from 10° to 80°, most intense first:
41.45 deg, I = 100
33.47 deg, I = 64
13.60 deg, I = 52
16.75 deg, I = 41
27.41 deg, I = 33
41.63 deg, I = 32
40.00 deg, I = 28
25.09 deg, I = 26
33.66 deg, I = 24
36.84 deg, I = 23

# 2
This entry pairs a crystal structure of Pr4SnPbN with its calculated X-ray diffraction stick pattern. Radiation: Cu Ka. Structure: a structure optimized by DFT (GGA-PBE).

Atomic structure:
Unit cell a=9.094 b=9.094 c=7.027 alpha=90.00 beta=90.00 gamma=134.52
Sites, in units of the cell vectors:
Pr1 0.000 0.500 0.000
Pr2 0.000 0.500 0.500
Pr3 0.088 0.912 0.750
Pr4 0.410 0.590 0.750
Pr5 0.500 0.000 0.000
Pr6 0.500 0.000 0.500
Pr7 0.590 0.410 0.250
Pr8 0.912 0.088 0.250
Sn1 0.109 0.891 0.250
Sn2 0.891 0.109 0.750
Pb1 0.393 0.607 0.250
Pb2 0.607 0.393 0.750
N1 0.252 0.748 0.750
N2 0.748 0.252 0.250

Top 10 peaks for 2θ from 10° to 80°, most intense first:
33.26 deg, I = 100
27.52 deg, I = 64
36.15 deg, I = 60
49.05 deg, I = 36
63.18 deg, I = 32
32.02 deg, I = 30
52.05 deg, I = 21
25.34 deg, I = 21
61.23 deg, I = 19
62.43 deg, I = 18